# Dy4Tm2LuNi2Te2
Calculated powder X-ray diffraction pattern, CuKα. Input: a cell relaxed with PBE.
Neutral-atom scattering factors, no anomalous dispersion.

Cell and atoms:
```
data_Dy4Tm2LuNi2Te2
_symmetry_space_group_name_H-M 'I m m 2'
_symmetry_Int_Tables_number 44
_cell_length_a 3.8182
_cell_length_b 15.4581
_cell_length_c 9.5723
_cell_angle_alpha 90.00
_cell_angle_beta 90.00
_cell_angle_gamma 90.00
loop_
_symmetry_equiv_pos_as_xyz
'x,y,z'
'-x,-y,z'
'-x,y,z'
'x,-y,z'
'x+1/2,y+1/2,z+1/2'
'-x+1/2,-y+1/2,z+1/2'
'-x+1/2,y+1/2,z+1/2'
'x+1/2,-y+1/2,z+1/2'
loop_
_atom_site_label
_atom_site_type_symbol
_atom_site_fract_x
_atom_site_fract_y
_atom_site_fract_z
_atom_site_occupancy
Dy1 Dy 0.0000 0.1329 0.0000 1
Dy2 Dy 0.0000 0.3150 0.7983 1
Tm1 Tm 0.0000 0.3554 0.1458 1
Lu1 Lu 0.0000 0.0000 0.4205 1
Ni1 Ni 0.0000 0.2346 0.4926 1
Te1 Te 0.0000 0.0000 0.7550 1
Te2 Te 0.0000 0.5000 0.6561 1
```

The 6 most intense peaks (2θ from 10° to 90°), sorted by position:
- 2θ 30.50, 2.931 Å, intensity 52.6, (1 1 2)
- 2θ 33.02, 2.713 Å, intensity 78.3, (0 3 3)
- 2θ 34.32, 2.613 Å, intensity 100.0, (1 4 1)
- 2θ 34.76, 2.581 Å, intensity 67.5, (0 6 0)
- 2θ 47.63, 1.909 Å, intensity 28.5, (2 0 0)
- 2θ 59.18, 1.561 Å, intensity 32.7, (2 3 3)